Structure and theoretical XRD peak list of La2FeCN (a DFT-relaxed cell (GGA-PBE, Alexandria); a wavelength of 1.5418 Å).

The 10 most intense peaks (10 to 80 degrees two-theta), sorted by position:
h k l	2theta	Rel. int.
1 1 0	24.35	678
0 0 1	25.51	822
2 0 0	34.70	1000
1 1 1	35.55	833
2 0 1	43.56	798
2 2 0	49.89	345
2 2 1	56.85	364
3 1 1	62.75	311
2 0 2	64.39	310
2 2 2	75.26	194

Structural model:
```
data_La2FeCN
_chemical_formula_sum 'La2 Fe1 C1 N1'
_cell_length_a 5.1700
_cell_length_b 5.1700
_cell_length_c 3.4923
_cell_angle_alpha 90.00
_cell_angle_beta 90.00
_cell_angle_gamma 90.00
_symmetry_space_group_name_H-M 'P 4/m m m'
_symmetry_Int_Tables_number 123
_symmetry_space_group_name_Hall '-P 4 2'
loop_
_atom_site_label
_atom_site_fract_x
_atom_site_fract_y
_atom_site_fract_z
La1 0.0000 0.5000 0.0000
Fe1 0.0000 0.0000 0.0000
C1 0.5000 0.5000 0.5000
N1 0.0000 0.0000 0.5000
```